No. 1
Structure and calculated powder XRD pattern of NaSe3 (a cell relaxed with GGA-PBE; copper Kα).

The 10 most intense peaks (10° ≤ 2θ ≤ 90°), in order of rising 2θ:
Position (°2θ)	intensity	h k l
23.17	32	1 0 1
31.02	100	1 1 0
31.31	43	0 0 4
44.45	36	2 0 0
44.66	63	1 1 4
45.50	19	1 0 5
55.37	33	2 0 4
73.46	16	3 1 0
73.61	14	2 2 4
82.00	21	3 1 4

Cell and atoms:
Cell: 4.0765 4.0765 11.4281 Å, 90.00 90.00 90.00°
Space group I4/mmm (No. 139)
Asymmetric unit:
Na: 0.0000 0.0000 0.0000
Se: 0.0000 0.0000 0.2678
Se: 0.0000 0.0000 0.5000

=====

No. 2
Structure and calculated powder XRD pattern of Hf6GePb (a cell relaxed with GGA-PBE; copper Kα).

The 10 most intense peaks (10° ≤ 2θ ≤ 90°), in order of rising 2θ:
Position (°2θ)	intensity	h k l
29.82	19	2 0 0
30.29	37	1 1 1
34.95	37	2 2 0
35.85	18	0 0 2
36.09	50	0 4 0
36.25	100	2 2 -2
39.20	19	3 1 -1
39.87	18	1 3 1
40.31	17	0 2 2
63.00	21	2 2 2

Cell and atoms:
Cell: 7.2118 9.9546 6.0291 Å, 90.00 123.80 90.00°
Space group C2/m (No. 12)
Asymmetric unit:
Hf: 0.0087 0.2380 0.2500
Hf: 0.2427 0.0000 0.7598
Ge: 0.0000 0.0000 0.0000
Pb: 0.0000 0.5000 0.5000

=====

No. 3
Structure and calculated powder XRD pattern of Cr2PtAu (a cell relaxed with GGA-PBE; copper Kα).

The 10 most intense peaks (10° ≤ 2θ ≤ 90°), in order of rising 2θ:
Position (°2θ)	intensity	h k l
28.08	41	1 1 0
28.28	20	0 0 2
40.13	51	2 0 0
40.28	100	1 1 2
49.82	18	2 0 2
58.05	17	2 2 0
65.70	8	3 1 0
73.02	34	3 1 2
73.31	17	2 0 4
87.03	11	2 2 4

Cell and atoms:
Cell: 4.4940 4.4940 6.3118 Å, 90.00 90.00 90.00°
Space group I4/mmm (No. 139)
Asymmetric unit:
Cr: 0.0000 0.5000 0.2500
Pt: 0.0000 0.0000 0.0000
Au: 0.0000 0.0000 0.5000

=====

No. 4
Structure and calculated powder XRD pattern of CeTl2Se4 (a cell relaxed with GGA-PBE; copper Kα).

The 10 most intense peaks (10° ≤ 2θ ≤ 90°), in order of rising 2θ:
Position (°2θ)	intensity	h k l
20.83	35	1 1 2
23.34	63	1 2 1
23.65	37	2 1 1
25.22	92	1 0 3
28.16	40	2 2 0
36.82	38	2 3 1
37.16	48	3 2 1
39.74	27	0 4 0
40.74	27	4 0 0
42.38	100	2 2 4

Cell and atoms:
Cell: 8.8589 9.0719 11.5320 Å, 90.00 90.00 90.00°
Space group Imma (No. 74)
Asymmetric unit:
Ce: 0.2500 0.2500 0.2500
Tl: 0.0000 0.0000 0.0000
Tl: 0.0000 0.2500 0.6186
Se: 0.0000 0.0487 0.2668
Se: 0.2074 0.2500 0.9984

=====

No. 5
Structure and calculated powder XRD pattern of Tb4HoPd2 (a cell relaxed with GGA-PBE; copper Kα).

The 10 most intense peaks (10° ≤ 2θ ≤ 90°), in order of rising 2θ:
Position (°2θ)	intensity	h k l
30.28	63	2 1 -2
30.66	69	1 2 0
30.85	57	1 0 2
31.11	67	1 2 -1
33.00	54	1 0 -3
34.46	100	3 0 -1
34.75	57	2 0 -3
35.92	47	0 0 3
36.40	54	2 2 -1
37.01	73	0 2 2

Cell and atoms:
Cell: 7.8375 6.3746 8.1515 Å, 90.00 112.97 90.00°
Space group P2_1/m (No. 11)
Asymmetric unit:
Tb: 0.0207 0.2500 0.3912
Tb: 0.2436 0.7500 0.3472
Tb: 0.4078 0.0054 0.7725
Ho: 0.1565 0.2500 0.0286
Pd: 0.2303 0.7500 0.9908
Pd: 0.3818 0.2500 0.4173

=====

No. 6
Structure and calculated powder XRD pattern of Pr4NdEr8 (a cell relaxed with GGA-PBE; copper Kα).

The 10 most intense peaks (10° ≤ 2θ ≤ 90°), in order of rising 2θ:
Position (°2θ)	intensity	h k l
19.65	10	1 1 1
22.73	11	2 0 0
25.45	5	2 1 0
32.36	100	2 2 0
38.14	6	3 1 1
46.41	18	4 0 0
52.28	4	4 2 0
57.71	37	4 2 2
67.74	11	4 4 0
77.08	15	6 2 0

Cell and atoms:
Cell: 7.8255 7.8255 7.8255 Å, 90.00 90.00 90.00°
Space group Pm-3m (No. 221)
Asymmetric unit:
Pr: 0.0000 0.0000 0.0000
Pr: 0.0000 0.5000 0.5000
Nd: 0.5000 0.5000 0.5000
Er: 0.2391 0.2391 0.2391